The following is a computed powder XRD pattern of PbWO4. It was derived from a cell relaxed with GGA+U, using Cu Kα (λ = 1.5418 Å).
No peak broadening, texture or thermal motion is included.

Crystal structure
a = 5.649 Å, b = 5.147 Å, c = 14.082 Å
α = 90.00°, β = 110.68°, γ = 90.00°
Element x y z (fractional)
1 Pb 0.165 0.228 0.156
2 Pb 0.165 0.272 0.656
3 Pb 0.835 0.728 0.344
4 Pb 0.835 0.772 0.844
5 W 0.407 0.249 0.925
6 W 0.407 0.251 0.425
7 W 0.593 0.749 0.575
8 W 0.593 0.751 0.075
9 O 0.102 0.125 0.340
10 O 0.102 0.375 0.840
11 O 0.270 0.554 0.469
12 O 0.270 0.946 0.969
13 O 0.375 0.059 0.553
14 O 0.375 0.441 0.053
15 O 0.499 0.620 0.679
16 O 0.499 0.880 0.179
17 O 0.501 0.120 0.821
18 O 0.501 0.380 0.321
19 O 0.625 0.559 0.947
20 O 0.625 0.941 0.447
21 O 0.730 0.054 0.031
22 O 0.730 0.446 0.531
23 O 0.898 0.625 0.160
24 O 0.898 0.875 0.660

Largest 8 diffraction maxima, in order of rising 2θ, 2θ from 10° to 80°:
index  d (Å)  I/Imax
1 1 0  3.687  1000
1 1 -2  3.620  631
1 0 -4  3.382  314
2 0 -2  2.824  666
0 1 4  2.774  499
0 2 0  2.573  310
2 1 2  2.022  319
2 2 -2  1.901  316